Li2InPtO4: calculated PXRD pattern (Cu Ka), based on a DFT-relaxed cell (GGA-PBE, Alexandria).
Intensities are scaled so that the largest is 100.

Cell lengths 5.456, 3.145, 5.616 Å; angles 90.00, 112.61, 90.00 degrees
Fractional positions:
Li 0.000 0.000 0.000
Li 0.000 0.500 0.500
In 0.500 0.000 0.500
Pt 0.500 0.500 0.000
O 0.235 0.500 0.274
O 0.282 0.000 0.774
O 0.718 0.000 0.226
O 0.765 0.500 0.726

Main lines, low angle first (2θ = 10–80°):
| 2θ/deg | d (Å) | I_rel | h k l |
| --- | --- | --- | --- |
| 17.6 | 5.036 | 100 | 1 0 0 |
| 32.2 | 2.780 | 25 | 1 0 -2 |
| 33.3 | 2.689 | 38 | 0 1 1 |
| 34.6 | 2.595 | 40 | 0 0 2 |
| 39.1 | 2.302 | 22 | 2 0 -2 |
| 41.1 | 2.197 | 38 | 1 1 1 |